Entry 1:
For Gd2Zn3InNi2, a DFT-relaxed cell (PBE, OQMD) gives the theoretical X-ray powder pattern in this record (Cu Kα (weighted mean of Kα1 and Kα2)).

The 10 most intense peaks (15° ≤ 2θ ≤ 90°), by angle:
| d/Å | Rel. int. |
| --- | --- |
| 2.652 | 90 |
| 2.638 | 100 |
| 2.518 | 46 |
| 2.391 | 82 |
| 2.376 | 55 |
| 2.263 | 35 |
| 2.181 | 29 |
| 2.072 | 35 |
| 2.059 | 70 |
| 1.295 | 25 |

Crystal structure
a = 9.546 Å, b = 4.118 Å, c = 7.406 Å
α = 90.00°, β = 90.77°, γ = 90.00°
Fractional positions:
1 Gd 0.000 0.000 0.000
2 Gd 0.130 0.000 0.529
3 Gd 0.500 0.500 0.000
4 Gd 0.630 0.500 0.529
5 Zn 0.215 0.500 0.816
6 Zn 0.416 0.000 0.324
7 Zn 0.419 0.000 0.708
8 Zn 0.715 0.000 0.816
9 Zn 0.916 0.500 0.324
10 Zn 0.919 0.500 0.708
11 In 0.210 0.500 0.213
12 In 0.710 0.000 0.213
13 Ni 0.289 0.000 0.005
14 Ni 0.348 0.500 0.524
15 Ni 0.789 0.500 0.005
16 Ni 0.848 0.000 0.524



Entry 2:
For Gd3In2Pb5, a DFT-relaxed cell (PBE, OQMD) gives the theoretical X-ray powder pattern in this record (Cu Kα (weighted mean of Kα1 and Kα2)).

The 10 most intense peaks (15° ≤ 2θ ≤ 90°), by angle:
| d/Å | Rel. int. |
| --- | --- |
| 2.776 | 100 |
| 2.588 | 19 |
| 2.350 | 16 |
| 2.301 | 15 |
| 1.740 | 12 |
| 1.720 | 11 |
| 1.528 | 14 |
| 1.426 | 13 |
| 1.404 | 13 |
| 1.388 | 11 |

Crystal structure
a = 13.153 Å, b = 13.153 Å, c = 4.602 Å
α = 90.00°, β = 90.00°, γ = 159.42°
Fractional positions:
1 Gd 0.000 0.000 0.000
2 Gd 0.188 0.812 0.000
3 Gd 0.812 0.188 0.000
4 In 0.403 0.597 0.000
5 In 0.597 0.403 0.000
6 Pb 0.098 0.902 0.500
7 Pb 0.294 0.706 0.500
8 Pb 0.500 0.500 0.500
9 Pb 0.706 0.294 0.500
10 Pb 0.902 0.098 0.500



Entry 3:
For Gd3InPb6, a DFT-relaxed cell (PBE, OQMD) gives the theoretical X-ray powder pattern in this record (Cu Kα (weighted mean of Kα1 and Kα2)).

The 10 most intense peaks (15° ≤ 2θ ≤ 90°), by angle:
| d/Å | Rel. int. |
| --- | --- |
| 2.796 | 100 |
| 2.526 | 17 |
| 2.374 | 33 |
| 1.730 | 22 |
| 1.679 | 12 |
| 1.505 | 11 |
| 1.439 | 27 |
| 1.398 | 11 |
| 1.121 | 9 |
| 1.093 | 6 |

Crystal structure
a = 12.850 Å, b = 12.850 Å, c = 4.747 Å
α = 90.00°, β = 90.00°, γ = 158.71°
Fractional positions:
1 Gd 0.000 0.000 0.000
2 Gd 0.188 0.812 0.000
3 Gd 0.812 0.188 0.000
4 In 0.500 0.500 0.500
5 Pb 0.096 0.904 0.500
6 Pb 0.294 0.706 0.500
7 Pb 0.405 0.595 0.000
8 Pb 0.595 0.405 0.000
9 Pb 0.706 0.294 0.500
10 Pb 0.904 0.096 0.500



Entry 4:
For Gd2In8Pd, a DFT-relaxed cell (PBE, OQMD) gives the theoretical X-ray powder pattern in this record (Cu Kα (weighted mean of Kα1 and Kα2)).

The 10 most intense peaks (15° ≤ 2θ ≤ 90°), by angle:
| d/Å | Rel. int. |
| --- | --- |
| 2.919 | 28 |
| 2.572 | 100 |
| 2.431 | 15 |
| 2.353 | 52 |
| 1.691 | 19 |
| 1.664 | 17 |
| 1.535 | 7 |
| 1.397 | 31 |
| 1.382 | 13 |
| 1.373 | 9 |

Crystal structure
a = 4.706 Å, b = 4.706 Å, c = 12.157 Å
α = 90.00°, β = 90.00°, γ = 90.00°
Fractional positions:
1 Gd 0.000 0.000 0.189
2 Gd 0.000 0.000 0.811
3 In 0.000 0.500 0.000
4 In 0.000 0.500 0.374
5 In 0.000 0.500 0.626
6 In 0.500 0.000 0.000
7 In 0.500 0.000 0.374
8 In 0.500 0.000 0.626
9 In 0.500 0.500 0.191
10 In 0.500 0.500 0.809
11 Pd 0.000 0.000 0.500



Entry 5:
For PrGd2In3Pd3, a DFT-relaxed cell (PBE, OQMD) gives the theoretical X-ray powder pattern in this record (Cu Kα (weighted mean of Kα1 and Kα2)).

The 10 most intense peaks (15° ≤ 2θ ≤ 90°), by angle:
| d/Å | Rel. int. |
| --- | --- |
| 2.770 | 100 |
| 2.559 | 95 |
| 2.525 | 51 |
| 2.227 | 35 |
| 2.133 | 24 |
| 1.991 | 25 |
| 1.680 | 18 |
| 1.563 | 23 |
| 1.484 | 19 |
| 1.430 | 32 |

Crystal structure
a = 3.982 Å, b = 7.716 Å, c = 7.716 Å
α = 120.05°, β = 90.00°, γ = 90.00°
Fractional positions:
1 Pr 0.000 0.000 0.000
2 Gd 0.000 0.178 0.588
3 Gd 0.000 0.588 0.178
4 In 0.500 0.337 0.337
5 In 0.500 0.585 0.843
6 In 0.500 0.843 0.585
7 Pd 0.000 0.588 0.588
8 Pd 0.500 0.259 0.921
9 Pd 0.500 0.921 0.259



Entry 6:
For GdInPdPt, a DFT-relaxed cell (PBE, OQMD) gives the theoretical X-ray powder pattern in this record (Cu Kα (weighted mean of Kα1 and Kα2)).

The 10 most intense peaks (15° ≤ 2θ ≤ 90°), by angle:
| d/Å | Rel. int. |
| --- | --- |
| 3.997 | 21 |
| 2.991 | 20 |
| 2.403 | 100 |
| 2.307 | 93 |
| 1.664 | 33 |
| 1.407 | 14 |
| 1.350 | 33 |
| 1.332 | 16 |
| 1.260 | 9 |
| 1.154 | 10 |

Crystal structure
a = 4.615 Å, b = 4.615 Å, c = 9.020 Å
α = 90.00°, β = 90.00°, γ = 120.00°
Fractional positions:
1 Gd 0.000 0.000 0.000
2 Gd 0.333 0.667 0.500
3 In 0.667 0.333 0.249
4 In 0.667 0.333 0.751
5 Pd 0.000 0.000 0.339
6 Pd 0.000 0.000 0.661
7 Pt 0.333 0.667 0.164
8 Pt 0.333 0.667 0.836



Entry 7:
For Gd3In2SnPdPt2, a DFT-relaxed cell (PBE, OQMD) gives the theoretical X-ray powder pattern in this record (Cu Kα (weighted mean of Kα1 and Kα2)).

The 10 most intense peaks (15° ≤ 2θ ≤ 90°), by angle:
| d/Å | Rel. int. |
| --- | --- |
| 2.740 | 100 |
| 2.535 | 95 |
| 2.523 | 46 |
| 2.225 | 46 |
| 2.118 | 29 |
| 1.949 | 25 |
| 1.851 | 13 |
| 1.542 | 20 |
| 1.466 | 25 |
| 1.426 | 22 |

Crystal structure
a = 3.897 Å, b = 7.703 Å, c = 7.703 Å
α = 119.89°, β = 90.00°, γ = 90.00°
Fractional positions:
1 Gd 0.000 0.000 0.000
2 Gd 0.000 0.180 0.592
3 Gd 0.000 0.592 0.180
4 In 0.500 0.592 0.850
5 In 0.500 0.850 0.592
6 Sn 0.500 0.333 0.333
7 Pd 0.000 0.586 0.586
8 Pt 0.500 0.257 0.925
9 Pt 0.500 0.925 0.257



Entry 8:
For Gd2InSnPd4, a DFT-relaxed cell (PBE, OQMD) gives the theoretical X-ray powder pattern in this record (Cu Kα (weighted mean of Kα1 and Kα2)).

The 10 most intense peaks (15° ≤ 2θ ≤ 90°), by angle:
| d/Å | Rel. int. |
| --- | --- |
| 2.983 | 36 |
| 2.394 | 96 |
| 2.306 | 100 |
| 1.825 | 9 |
| 1.661 | 31 |
| 1.400 | 16 |
| 1.348 | 30 |
| 1.332 | 17 |
| 1.197 | 9 |
| 1.153 | 11 |

Crystal structure
a = 4.613 Å, b = 4.613 Å, c = 8.970 Å
α = 90.00°, β = 90.00°, γ = 120.00°
Fractional positions:
1 Gd 0.333 0.667 0.250
2 Gd 0.667 0.333 0.750
3 In 0.000 0.000 0.500
4 Sn 0.000 0.000 0.000
5 Pd 0.333 0.667 0.585
6 Pd 0.333 0.667 0.914
7 Pd 0.667 0.333 0.086
8 Pd 0.667 0.333 0.415



Entry 9:
For Gd2TmIn3Pd3, a DFT-relaxed cell (PBE, OQMD) gives the theoretical X-ray powder pattern in this record (Cu Kα (weighted mean of Kα1 and Kα2)).

The 10 most intense peaks (15° ≤ 2θ ≤ 90°), by angle:
| d/Å | Rel. int. |
| --- | --- |
| 2.726 | 100 |
| 2.525 | 74 |
| 2.517 | 63 |
| 2.225 | 25 |
| 2.214 | 12 |
| 2.108 | 13 |
| 1.931 | 24 |
| 1.533 | 15 |
| 1.458 | 14 |
| 1.420 | 20 |

Crystal structure
a = 3.862 Å, b = 7.683 Å, c = 7.683 Å
α = 119.69°, β = 90.00°, γ = 90.00°
Fractional positions:
1 Gd 0.000 0.204 0.796
2 Gd 0.000 0.796 0.204
3 Tm 0.000 0.388 0.388
4 In 0.500 0.056 0.056
5 In 0.500 0.537 0.795
6 In 0.500 0.795 0.537
7 Pd 0.000 0.794 0.794
8 Pd 0.500 0.133 0.462
9 Pd 0.500 0.462 0.133



Entry 10:
For GdY2In3Pd3, a DFT-relaxed cell (PBE, OQMD) gives the theoretical X-ray powder pattern in this record (Cu Kα (weighted mean of Kα1 and Kα2)).

The 10 most intense peaks (15° ≤ 2θ ≤ 90°), by angle:
| d/Å | Rel. int. |
| --- | --- |
| 2.732 | 65 |
| 2.527 | 100 |
| 2.225 | 30 |
| 2.114 | 24 |
| 1.936 | 17 |
| 1.670 | 9 |
| 1.536 | 15 |
| 1.460 | 15 |
| 1.424 | 24 |
| 1.262 | 8 |

Crystal structure
a = 3.871 Å, b = 7.707 Å, c = 7.707 Å
α = 119.95°, β = 90.00°, γ = 90.00°
Fractional positions:
1 Gd 0.000 0.000 0.000
2 Y 0.000 0.410 0.818
3 Y 0.000 0.818 0.410
4 In 0.500 0.151 0.411
5 In 0.500 0.411 0.151
6 In 0.500 0.665 0.665
7 Pd 0.000 0.408 0.408
8 Pd 0.500 0.076 0.744
9 Pd 0.500 0.744 0.076



Entry 11:
For PrGdIn6, a DFT-relaxed cell (PBE, OQMD) gives the theoretical X-ray powder pattern in this record (Cu Kα (weighted mean of Kα1 and Kα2)).

The 10 most intense peaks (15° ≤ 2θ ≤ 90°), by angle:
| d/Å | Rel. int. |
| --- | --- |
| 2.942 | 25 |
| 2.570 | 23 |
| 2.554 | 100 |
| 1.935 | 15 |
| 1.699 | 18 |
| 1.480 | 18 |
| 1.417 | 20 |
| 1.414 | 15 |
| 1.277 | 3 |
| 1.116 | 7 |

Crystal structure
a = 6.795 Å, b = 6.795 Å, c = 5.139 Å
α = 90.00°, β = 90.00°, γ = 120.00°
Fractional positions:
1 Pr 0.000 0.000 0.000
2 Gd 0.333 0.667 0.500
3 In 0.354 0.177 0.500
4 In 0.507 0.014 0.000
5 In 0.507 0.493 0.000
6 In 0.823 0.177 0.500
7 In 0.823 0.646 0.500
8 In 0.986 0.493 0.000



Entry 12:
For GdTmIn2Pt4, a DFT-relaxed cell (PBE, OQMD) gives the theoretical X-ray powder pattern in this record (Cu Kα (weighted mean of Kα1 and Kα2)).

The 10 most intense peaks (15° ≤ 2θ ≤ 90°), by angle:
| d/Å | Rel. int. |
| --- | --- |
| 3.967 | 20 |
| 2.976 | 12 |
| 2.393 | 100 |
| 2.291 | 89 |
| 1.655 | 33 |
| 1.403 | 12 |
| 1.341 | 33 |
| 1.322 | 15 |
| 1.255 | 10 |
| 1.145 | 10 |

Crystal structure
a = 4.581 Å, b = 4.581 Å, c = 9.000 Å
α = 90.00°, β = 90.00°, γ = 120.00°
Fractional positions:
1 Gd 0.000 0.000 0.000
2 Tm 0.667 0.333 0.500
3 In 0.333 0.667 0.252
4 In 0.333 0.667 0.748
5 Pt 0.000 0.000 0.345
6 Pt 0.000 0.000 0.655
7 Pt 0.667 0.333 0.161
8 Pt 0.667 0.333 0.839



Entry 13:
For TbGdIn3Si2, a DFT-relaxed cell (PBE, OQMD) gives the theoretical X-ray powder pattern in this record (Cu Kα (weighted mean of Kα1 and Kα2)).

The 10 most intense peaks (15° ≤ 2θ ≤ 90°), by angle:
| d/Å | Rel. int. |
| --- | --- |
| 2.719 | 57 |
| 2.695 | 100 |
| 2.677 | 28 |
| 2.619 | 25 |
| 2.420 | 36 |
| 2.297 | 21 |
| 2.148 | 28 |
| 1.675 | 14 |
| 1.661 | 12 |
| 1.439 | 15 |

Crystal structure
a = 10.703 Å, b = 4.297 Å, c = 7.004 Å
α = 90.00°, β = 100.13°, γ = 90.00°
Fractional positions:
1 Tb 0.000 0.000 0.000
2 Tb 0.500 0.500 0.000
3 Gd 0.258 0.500 0.338
4 Gd 0.758 0.000 0.338
5 In 0.073 0.000 0.519
6 In 0.184 0.500 0.819
7 In 0.379 0.000 0.669
8 In 0.573 0.500 0.519
9 In 0.684 0.000 0.819
10 In 0.879 0.500 0.669
11 Si 0.286 0.000 0.050
12 Si 0.471 0.000 0.286
13 Si 0.786 0.500 0.050
14 Si 0.971 0.500 0.286



Entry 14:
For GdInSn, a DFT-relaxed cell (PBE, OQMD) gives the theoretical X-ray powder pattern in this record (Cu Kα (weighted mean of Kα1 and Kα2)).

The 10 most intense peaks (15° ≤ 2θ ≤ 90°), by angle:
| d/Å | Rel. int. |
| --- | --- |
| 4.185 | 37 |
| 2.563 | 100 |
| 2.185 | 20 |
| 1.812 | 18 |
| 1.663 | 8 |
| 1.479 | 37 |
| 1.395 | 6 |
| 1.281 | 11 |
| 1.225 | 6 |
| 1.146 | 17 |

Crystal structure
a = 7.248 Å, b = 7.248 Å, c = 7.248 Å
α = 90.00°, β = 90.00°, γ = 90.00°
Fractional positions:
1 Gd 0.000 0.000 0.000
2 Gd 0.000 0.500 0.500
3 Gd 0.500 0.000 0.500
4 Gd 0.500 0.500 0.000
5 In 0.250 0.250 0.750
6 In 0.250 0.750 0.250
7 In 0.750 0.250 0.250
8 In 0.750 0.750 0.750
9 Sn 0.250 0.250 0.250
10 Sn 0.250 0.750 0.750
11 Sn 0.750 0.250 0.750
12 Sn 0.750 0.750 0.250



Entry 15:
For GdTm2In, a DFT-relaxed cell (PBE, OQMD) gives the theoretical X-ray powder pattern in this record (Cu Kα (weighted mean of Kα1 and Kα2)).

The 10 most intense peaks (15° ≤ 2θ ≤ 90°), by angle:
| d/Å | Rel. int. |
| --- | --- |
| 2.776 | 100 |
| 2.404 | 50 |
| 1.700 | 35 |
| 1.451 | 14 |
| 1.449 | 27 |
| 1.388 | 12 |
| 1.204 | 2 |
| 1.201 | 4 |
| 1.103 | 12 |
| 1.102 | 6 |

Crystal structure
a = 4.804 Å, b = 4.804 Å, c = 4.815 Å
α = 90.00°, β = 90.00°, γ = 90.00°
Fractional positions:
1 Gd 0.000 0.000 0.000
2 Tm 0.000 0.500 0.500
3 Tm 0.500 0.000 0.500
4 In 0.500 0.500 0.000